1.
For Cd6GaHg4, DFT lattice parameters and positions (GGA-PBE) gives the simulated powder X-ray diffraction pattern in this record (Cu Kα).
Peak positions follow from Bragg's law for the DFT cell and can differ from measured ones.

Crystal structure
Lattice parameters (Å, degrees): 6.2384 6.2384 7.3499 104.35 104.35 92.48
Atoms (fractional coordinates):
Cd1 0.0000 0.0000 0.0000
Cd2 0.1245 0.6076 0.6762
Cd3 0.2361 0.7990 0.3406
Cd4 0.4159 0.4159 0.0055
Cd5 0.6076 0.1245 0.6762
Cd6 0.7990 0.2361 0.3406
Ga1 0.1059 0.1059 0.6646
Hg1 0.3206 0.3206 0.3702
Hg2 0.5078 0.8958 0.9851
Hg3 0.7290 0.7290 0.4008
Hg4 0.8958 0.5078 0.9851

Top 6 peaks for 10 to 80 degrees two-theta, in order of rising 2θ:
2θ/deg, I_rel
32.8, 34.7
34.0, 77.8
34.9, 22.0
35.7, 100.0
39.4, 33.3
40.0, 22.2


2.
For MnGa2Br2Cl6, DFT lattice parameters and positions (GGA-PBE) gives the simulated powder X-ray diffraction pattern in this record (Cu Kα).
Peak positions follow from Bragg's law for the DFT cell and can differ from measured ones.

Crystal structure
Lattice parameters (Å, degrees): 6.1620 6.1620 11.2408 90.00 90.00 120.00
Atoms (fractional coordinates):
Mn1 0.0000 0.0000 0.0000
Ga1 0.3333 0.6667 0.8061
Ga2 0.6667 0.3333 0.1939
Br1 0.3333 0.6667 0.6029
Br2 0.6667 0.3333 0.3971
Cl1 0.0034 0.3150 0.1232
Cl2 0.3117 0.9966 0.1232
Cl3 0.3150 0.3117 0.8768
Cl4 0.6849 0.6883 0.1232
Cl5 0.6883 0.0034 0.8768
Cl6 0.9966 0.6849 0.8768

Top 6 peaks for 10 to 80 degrees two-theta, in order of rising 2θ:
2θ/deg, I_rel
18.4, 100.0
29.0, 20.5
34.5, 18.8
45.7, 17.2
50.2, 25.9
51.4, 22.0


3.
For Tb2MgSc3, DFT lattice parameters and positions (GGA-PBE) gives the simulated powder X-ray diffraction pattern in this record (Cu Kα).
Peak positions follow from Bragg's law for the DFT cell and can differ from measured ones.

Crystal structure
Lattice parameters (Å, degrees): 8.4260 8.4260 9.2950 123.28 123.28 36.57
Atoms (fractional coordinates):
Tb1 0.0399 0.0399 0.3622
Tb2 0.3078 0.3078 0.6304
Tb3 0.6922 0.6922 0.3696
Tb4 0.9601 0.9601 0.6378
Mg1 0.3815 0.3815 0.3606
Mg2 0.6185 0.6185 0.6394
Sc1 0.1341 0.1341 0.1236
Sc2 0.2116 0.2116 0.8718
Sc3 0.4432 0.4432 0.0938
Sc4 0.5568 0.5568 0.9062
Sc5 0.7884 0.7884 0.1282
Sc6 0.8659 0.8659 0.8764

Top 6 peaks for 10 to 80 degrees two-theta, in order of rising 2θ:
2θ/deg, I_rel
11.7, 41.1
33.5, 65.7
33.6, 100.0
33.9, 31.7
48.5, 22.4
60.0, 26.4